[1]
Starting from a DFT-relaxed cell (PBE, Alexandria), the PXRD pattern of KNa2ReS4 was simulated for Cu Ka.

Principal peaks in the range 5 to 70 degrees two-theta, sorted by position:
2θ/deg  I_rel
14.1  30
15.8  100
20.0  18
24.6  91
25.6  20
32.7  20
38.6  25
40.7  50
48.1  37
48.6  17

Atomic structure:
Cell lengths 6.2719, 6.2719, 12.5696 Å; angles 90.00, 90.00, 90.00 degrees
Positions (direct):
K 0.0000 0.0000 0.0000
K 0.5000 0.5000 0.5000
Na 0.0000 0.0000 0.5000
Na 0.0000 0.5000 0.7500
Na 0.5000 0.0000 0.2500
Na 0.5000 0.5000 0.0000
Re 0.0000 0.5000 0.2500
Re 0.5000 0.0000 0.7500
S 0.1830 0.7299 0.3503
S 0.2299 0.3170 0.1497
S 0.2701 0.1830 0.6497
S 0.3170 0.7701 0.8503
S 0.6830 0.2299 0.8503
S 0.7299 0.8170 0.6497
S 0.7701 0.6830 0.1497
S 0.8170 0.2701 0.3503


[2]
Starting from a DFT-relaxed cell (PBE, Alexandria), the PXRD pattern of K3NaS8 was simulated for Cu Ka.

Principal peaks in the range 5 to 70 degrees two-theta, sorted by position:
2θ/deg  I_rel
14.4  63
21.1  91
23.9  70
24.5  82
24.8  71
28.7  83
29.1  92
30.8  100
36.0  78
41.0  64

Atomic structure:
Cell lengths 7.7651, 7.7651, 6.5242 Å; angles 103.09, 103.09, 96.84 degrees
Positions (direct):
K 0.0000 0.0000 0.0000
K 0.1856 0.6676 0.4660
K 0.6676 0.1856 0.4660
Na 0.3348 0.3348 0.8600
S 0.0700 0.0700 0.5254
S 0.2450 0.2450 0.4186
S 0.2541 0.6871 0.9862
S 0.4984 0.8293 0.0250
S 0.5285 0.5285 0.3280
S 0.6871 0.2541 0.9862
S 0.6933 0.6933 0.2482
S 0.8293 0.4984 0.0250


[3]
Starting from a DFT-relaxed cell (PBE, Alexandria), the PXRD pattern of K4Na2S was simulated for Cu Ka.

Principal peaks in the range 5 to 70 degrees two-theta, sorted by position:
2θ/deg  I_rel
8.6  79
15.1  59
20.5  28
22.3  58
26.1  59
27.0  88
29.2  100
39.5  70
41.7  34
49.9  33

Atomic structure:
Cell lengths 6.1220, 6.1220, 20.5111 Å; angles 90.00, 90.00, 90.00 degrees
Positions (direct):
K 0.0000 0.0000 0.1488
K 0.0000 0.0000 0.8512
K 0.0000 0.5000 0.0000
K 0.0000 0.5000 0.5000
K 0.5000 0.0000 0.0000
K 0.5000 0.0000 0.5000
K 0.5000 0.5000 0.3512
K 0.5000 0.5000 0.6488
Na 0.0000 0.0000 0.3395
Na 0.0000 0.0000 0.6605
Na 0.5000 0.5000 0.1605
Na 0.5000 0.5000 0.8395
S 0.0000 0.0000 0.0000
S 0.5000 0.5000 0.5000


[4]
Starting from a DFT-relaxed cell (PBE, Alexandria), the PXRD pattern of KNa2US4 was simulated for Cu Ka.

Principal peaks in the range 5 to 70 degrees two-theta, sorted by position:
2θ/deg  I_rel
13.2  35
17.2  100
22.5  17
26.2  28
26.6  25
32.1  43
36.7  31
37.3  20
42.2  29
50.0  17

Atomic structure:
Cell lengths 5.5767, 5.5767, 13.3821 Å; angles 90.00, 90.00, 90.00 degrees
Positions (direct):
K 0.0000 0.0000 0.0000
K 0.5000 0.5000 0.5000
Na 0.0000 0.0000 0.5000
Na 0.0000 0.5000 0.2500
Na 0.5000 0.0000 0.7500
Na 0.5000 0.5000 0.0000
U 0.0000 0.5000 0.7500
U 0.5000 0.0000 0.2500
S 0.0000 0.0000 0.2520
S 0.0000 0.0000 0.7480
S 0.0000 0.5000 0.5636
S 0.0000 0.5000 0.9364
S 0.5000 0.0000 0.0636
S 0.5000 0.0000 0.4364
S 0.5000 0.5000 0.2480
S 0.5000 0.5000 0.7520


[5]
Starting from a DFT-relaxed cell (PBE, Alexandria), the PXRD pattern of K2Na3WS6 was simulated for Cu Ka.

Principal peaks in the range 5 to 70 degrees two-theta, sorted by position:
2θ/deg  I_rel
13.7  48
14.4  100
16.4  32
16.8  58
24.2  43
30.9  56
32.7  78
37.9  34
40.1  31
50.5  27

Atomic structure:
Cell lengths 7.5862, 7.5862, 6.1317 Å; angles 104.16, 104.16, 117.04 degrees
Positions (direct):
K 0.1597 0.8403 0.0000
K 0.8403 0.1597 0.0000
Na 0.0000 0.0000 0.5000
Na 0.2971 0.7029 0.5000
Na 0.7029 0.2971 0.5000
W 0.5000 0.5000 0.0000
S 0.1409 0.4129 0.7643
S 0.3840 0.3840 0.3064
S 0.4129 0.1409 0.7643
S 0.5871 0.8591 0.2357
S 0.6160 0.6160 0.6936
S 0.8591 0.5871 0.2357


[6]
Starting from a DFT-relaxed cell (PBE, Alexandria), the PXRD pattern of KNa5Sb2 was simulated for Cu Ka.

Principal peaks in the range 5 to 70 degrees two-theta, sorted by position:
2θ/deg  I_rel
15.2  99
18.4  64
19.3  58
24.6  100
32.7  51
34.2  39
36.0  31
36.2  85
36.4  32
50.5  32

Atomic structure:
Cell lengths 5.2458, 9.6267, 11.6882 Å; angles 90.00, 90.00, 90.00 degrees
Positions (direct):
K 0.0000 0.0000 0.0000
K 0.5000 0.5000 0.5000
Na 0.0000 0.1745 0.3043
Na 0.0000 0.1745 0.6957
Na 0.0000 0.5000 0.0000
Na 0.0000 0.8255 0.3043
Na 0.0000 0.8255 0.6957
Na 0.5000 0.0000 0.5000
Na 0.5000 0.3255 0.1957
Na 0.5000 0.3255 0.8043
Na 0.5000 0.6745 0.1957
Na 0.5000 0.6745 0.8043
Sb 0.0000 0.5000 0.2598
Sb 0.0000 0.5000 0.7402
Sb 0.5000 0.0000 0.2402
Sb 0.5000 0.0000 0.7598


[7]
Starting from a DFT-relaxed cell (PBE, Alexandria), the PXRD pattern of K2NaSb2 was simulated for Cu Ka.

Principal peaks in the range 5 to 70 degrees two-theta, sorted by position:
2θ/deg  I_rel
15.0  27
16.8  70
18.4  35
18.7  52
29.8  26
30.7  100
30.9  27
32.6  50
33.0  26
33.4  24

Atomic structure:
Cell lengths 6.8275, 6.8275, 9.6875 Å; angles 99.66, 99.66, 60.55 degrees
Positions (direct):
K 0.0052 0.2974 0.1499
K 0.2974 0.0052 0.6499
K 0.7026 0.9948 0.3501
K 0.9948 0.7026 0.8501
Na 0.4023 0.5977 0.2500
Na 0.5977 0.4023 0.7500
Sb 0.2018 0.5100 0.4963
Sb 0.4900 0.7982 0.0037
Sb 0.5100 0.2018 0.9963
Sb 0.7982 0.4900 0.5037


[8]
Starting from a DFT-relaxed cell (PBE, Alexandria), the PXRD pattern of KNaSbTe2 was simulated for Cu Ka.

Principal peaks in the range 5 to 70 degrees two-theta, sorted by position:
2θ/deg  I_rel
10.7  23
18.3  96
21.3  20
28.4  26
29.6  57
29.8  94
35.2  100
37.1  33
41.2  25
48.3  48

Atomic structure:
Cell lengths 4.3782, 4.8464, 8.2480 Å; angles 90.00, 90.09, 90.00 degrees
Positions (direct):
K 0.0000 0.0000 0.0000
Na 0.5000 0.0000 0.5000
Sb 0.0000 0.5000 0.5000
Te 0.4992 0.5000 0.2357
Te 0.5008 0.5000 0.7643


[9]
Starting from a DFT-relaxed cell (PBE, Alexandria), the PXRD pattern of KNaSnSe2 was simulated for Cu Ka.

Principal peaks in the range 5 to 70 degrees two-theta, sorted by position:
2θ/deg  I_rel
9.4  59
14.1  94
19.9  51
21.9  97
25.3  54
27.2  61
32.0  57
34.7  65
35.3  81
38.8  100

Atomic structure:
Cell lengths 8.4389, 8.4389, 9.4618 Å; angles 91.95, 91.95, 31.95 degrees
Positions (direct):
K 0.1773 0.1773 0.1785
K 0.8227 0.8227 0.8215
Na 0.1957 0.1957 0.5623
Na 0.8043 0.8043 0.4377
Sn 0.4378 0.4378 0.2809
Sn 0.5622 0.5622 0.7191
Se 0.1499 0.1499 0.8386
Se 0.3757 0.3757 0.5486
Se 0.6243 0.6243 0.4514
Se 0.8501 0.8501 0.1614


[10]
Starting from a DFT-relaxed cell (PBE, Alexandria), the PXRD pattern of KNaZrSe3 was simulated for Cu Ka.

Principal peaks in the range 5 to 70 degrees two-theta, sorted by position:
2θ/deg  I_rel
12.2  63
13.7  80
20.6  55
24.5  42
27.0  68
27.7  46
28.6  44
31.7  100
36.8  65
39.9  50

Atomic structure:
Cell lengths 8.1378, 8.1378, 7.1012 Å; angles 95.71, 95.71, 126.05 degrees
Positions (direct):
K 0.2484 0.7516 0.7500
K 0.7516 0.2484 0.2500
Na 0.4231 0.5769 0.2500
Na 0.5769 0.4231 0.7500
Zr 0.0539 0.9461 0.2500
Zr 0.9461 0.0539 0.7500
Se 0.1899 0.2795 0.5020
Se 0.2269 0.7731 0.2500
Se 0.2795 0.1899 0.0020
Se 0.7205 0.8101 0.9980
Se 0.7731 0.2269 0.7500
Se 0.8101 0.7205 0.4980


[11]
Starting from a DFT-relaxed cell (PBE, Alexandria), the PXRD pattern of KNaSi was simulated for Cu Ka.

Principal peaks in the range 5 to 70 degrees two-theta, sorted by position:
2θ/deg  I_rel
10.8  100
27.3  56
27.8  38
28.1  85
29.8  82
32.6  41
35.5  19
37.4  28
40.6  28
46.7  21

Atomic structure:
Cell lengths 3.8925, 6.6459, 8.6404 Å; angles 77.98, 77.04, 89.93 degrees
Positions (direct):
K 0.1468 0.3496 0.2053
K 0.8532 0.6504 0.7947
Na 0.4112 0.1791 0.6765
Na 0.5888 0.8209 0.3235
Si 0.2351 0.8960 0.0304
Si 0.7649 0.1040 0.9696


[12]
Starting from a DFT-relaxed cell (PBE, Alexandria), the PXRD pattern of KNaSiTe3 was simulated for Cu Ka.

Principal peaks in the range 5 to 70 degrees two-theta, sorted by position:
2θ/deg  I_rel
10.4  26
20.7  62
24.3  32
26.5  100
28.1  26
30.1  43
30.3  36
30.7  33
38.6  36
42.3  21

Atomic structure:
Cell lengths 7.5431, 7.5431, 9.1903 Å; angles 108.35, 108.35, 65.22 degrees
Positions (direct):
K 0.1652 0.1652 0.2120
K 0.8348 0.8348 0.7880
Na 0.2895 0.7105 0.5000
Na 0.7105 0.2895 0.5000
Si 0.4816 0.4816 0.1178
Si 0.5184 0.5184 0.8822
Te 0.1184 0.6508 0.1396
Te 0.3404 0.3404 0.6392
Te 0.3492 0.8816 0.8604
Te 0.6508 0.1184 0.1396
Te 0.6596 0.6596 0.3608
Te 0.8816 0.3492 0.8604